Theoretical powder X-ray diffraction pattern of Cs2HoMgCl6 for λ = 1.5418 Å (Cu Kα), from a structure optimized by DFT (GGA-PBE).
Kinematic intensities with the Lorentz-polarization factor, no thermal factor.

Cell: 7.794 11.022 7.792 Å, 90.00 90.00 90.00°
Sites, in units of the cell vectors:
Cs  0.250  0.000  0.249
Cs  0.250  0.500  0.249
Cs  0.750  0.000  0.751
Cs  0.750  0.500  0.751
Ho  0.250  0.250  0.749
Ho  0.750  0.750  0.251
Mg  0.250  0.750  0.750
Mg  0.750  0.250  0.250
Cl  0.010  0.250  0.509
Cl  0.010  0.250  0.989
Cl  0.250  0.010  0.749
Cl  0.250  0.490  0.749
Cl  0.490  0.250  0.509
Cl  0.490  0.250  0.989
Cl  0.510  0.750  0.011
Cl  0.510  0.750  0.491
Cl  0.750  0.510  0.251
Cl  0.750  0.990  0.251
Cl  0.990  0.750  0.011
Cl  0.990  0.750  0.491

The 6 most intense peaks (2θ from 10° to 90°), sorted by position:
2θ 13.92, intensity 33
2θ 22.82, intensity 100
2θ 32.49, intensity 64
2θ 40.08, intensity 46
2θ 46.62, intensity 44
2θ 63.12, intensity 26



Theoretical powder X-ray diffraction pattern of Cs3Na2HoCl8 for λ = 1.5418 Å (Cu Kα), from a structure optimized by DFT (GGA-PBE).
Kinematic intensities with the Lorentz-polarization factor, no thermal factor.

Cell: 7.623 7.623 10.211 Å, 90.00 90.00 120.00°
Sites, in units of the cell vectors:
Cs  0.000  0.000  0.000
Cs  0.333  0.667  0.632
Cs  0.667  0.333  0.368
Na  0.333  0.667  0.198
Na  0.667  0.333  0.802
Ho  0.000  0.000  0.500
Cl  0.160  0.321  0.347
Cl  0.160  0.840  0.347
Cl  0.321  0.160  0.653
Cl  0.333  0.667  0.949
Cl  0.667  0.333  0.051
Cl  0.679  0.840  0.347
Cl  0.840  0.160  0.653
Cl  0.840  0.679  0.653

The 6 most intense peaks (2θ from 10° to 90°), sorted by position:
2θ 22.01, intensity 63
2θ 23.34, intensity 100
2θ 28.42, intensity 33
2θ 29.24, intensity 31
2θ 32.30, intensity 62
2θ 44.88, intensity 37



Theoretical powder X-ray diffraction pattern of CsHoSnCl6 for λ = 1.5418 Å (Cu Kα), from a structure optimized by DFT (GGA-PBE).
Kinematic intensities with the Lorentz-polarization factor, no thermal factor.

Cell: 7.295 7.295 7.564 Å, 90.00 90.00 120.00°
Sites, in units of the cell vectors:
Cs  0.000  0.000  0.000
Ho  0.667  0.333  0.500
Sn  0.333  0.667  0.500
Cl  0.388  0.022  0.702
Cl  0.388  0.365  0.298
Cl  0.635  0.022  0.298
Cl  0.635  0.612  0.702
Cl  0.978  0.365  0.702
Cl  0.978  0.612  0.298

The 6 most intense peaks (2θ from 10° to 90°), sorted by position:
2θ 11.70, intensity 27
2θ 18.30, intensity 100
2θ 24.41, intensity 30
2θ 34.15, intensity 66
2θ 39.58, intensity 28
2θ 42.95, intensity 22



Theoretical powder X-ray diffraction pattern of Cs2I2Cl for λ = 1.5418 Å (Cu Kα), from a structure optimized by DFT (GGA-PBE).
Kinematic intensities with the Lorentz-polarization factor, no thermal factor.

Cell: 10.290 10.290 10.835 Å, 90.00 90.00 153.19°
Sites, in units of the cell vectors:
Cs  0.000  0.000  0.000
Cs  0.000  0.000  0.500
Cs  0.175  0.825  0.769
Cs  0.825  0.175  0.269
I  0.196  0.804  0.415
I  0.337  0.663  0.566
I  0.663  0.337  0.066
I  0.804  0.196  0.915
Cl  0.456  0.544  0.233
Cl  0.544  0.456  0.733

The 6 most intense peaks (2θ from 10° to 90°), sorted by position:
2θ 20.82, intensity 64
2θ 26.23, intensity 39
2θ 26.72, intensity 38
2θ 28.29, intensity 100
2θ 29.12, intensity 28
2θ 37.72, intensity 28



Theoretical powder X-ray diffraction pattern of Cs2ICl for λ = 1.5418 Å (Cu Kα), from a structure optimized by DFT (GGA-PBE).
Kinematic intensities with the Lorentz-polarization factor, no thermal factor.

Cell: 6.332 6.332 6.332 Å, 60.00 60.00 60.00°
Sites, in units of the cell vectors:
Cs  0.250  0.250  0.250
Cs  0.750  0.750  0.750
I  0.000  0.000  0.000
Cl  0.500  0.500  0.500

The 6 most intense peaks (2θ from 10° to 90°), sorted by position:
2θ 28.18, intensity 100
2θ 40.28, intensity 19
2θ 49.89, intensity 40
2θ 58.28, intensity 12
2θ 65.97, intensity 17
2θ 80.21, intensity 20



Theoretical powder X-ray diffraction pattern of Cs8ICl6 for λ = 1.5418 Å (Cu Kα), from a structure optimized by DFT (GGA-PBE).
Kinematic intensities with the Lorentz-polarization factor, no thermal factor.

Cell: 12.952 12.952 5.219 Å, 90.00 90.00 120.00°
Sites, in units of the cell vectors:
Cs  0.038  0.338  0.243
Cs  0.299  0.962  0.243
Cs  0.333  0.667  0.751
Cs  0.338  0.299  0.757
Cs  0.662  0.701  0.243
Cs  0.667  0.333  0.249
Cs  0.701  0.038  0.757
Cs  0.962  0.662  0.757
I  0.000  0.000  0.000
Cl  0.133  0.655  0.255
Cl  0.345  0.478  0.255
Cl  0.478  0.133  0.745
Cl  0.522  0.867  0.255
Cl  0.655  0.522  0.745
Cl  0.867  0.345  0.745

The 6 most intense peaks (2θ from 10° to 90°), sorted by position:
2θ 21.87, intensity 77
2θ 23.28, intensity 47
2θ 23.80, intensity 100
2θ 27.10, intensity 45
2θ 32.54, intensity 47
2θ 39.03, intensity 36



Copy entry 6 word for word.
Theoretical powder X-ray diffraction pattern of Cs8ICl6 for λ = 1.5418 Å (Cu Kα), from a structure optimized by DFT (GGA-PBE).
Kinematic intensities with the Lorentz-polarization factor, no thermal factor.

Cell: 12.952 12.952 5.219 Å, 90.00 90.00 120.00°
Sites, in units of the cell vectors:
Cs  0.038  0.338  0.243
Cs  0.299  0.962  0.243
Cs  0.333  0.667  0.751
Cs  0.338  0.299  0.757
Cs  0.662  0.701  0.243
Cs  0.667  0.333  0.249
Cs  0.701  0.038  0.757
Cs  0.962  0.662  0.757
I  0.000  0.000  0.000
Cl  0.133  0.655  0.255
Cl  0.345  0.478  0.255
Cl  0.478  0.133  0.745
Cl  0.522  0.867  0.255
Cl  0.655  0.522  0.745
Cl  0.867  0.345  0.745

The 6 most intense peaks (2θ from 10° to 90°), sorted by position:
2θ 21.87, intensity 77
2θ 23.28, intensity 47
2θ 23.80, intensity 100
2θ 27.10, intensity 45
2θ 32.54, intensity 47
2θ 39.03, intensity 36